Record 1
# Y2FeSi4Os
Simulated X-ray diffraction stick pattern, CuKα. Input: a GGA-PBE-relaxed structure.
Intensities are scaled so that the largest is 100.

Main lines, by angle (2θ = 15–90°):
2θ 30.62, intensity 60, hkl 1 1 0
2θ 31.06, intensity 100, hkl 1 1 -1
2θ 31.85, intensity 76, hkl 0 1 2
2θ 34.19, intensity 51, hkl 1 0 2
2θ 34.29, intensity 58, hkl 1 1 1
2θ 36.18, intensity 60, hkl 1 0 -3
2θ 41.11, intensity 80, hkl 0 1 3
2θ 45.19, intensity 47, hkl 0 2 0

Structure:
```
8
Lattice="4.358 0.000 0.000 0.000 4.013 0.000 -1.726 0.000 7.868" Properties=species:S:1:pos:R:3 pbc="T T T"
Y 0.000 0.000 0.000
Y 0.101 2.007 3.195
Fe 0.712 2.007 6.399
Si -0.012 0.000 5.554
Si 2.230 2.007 0.789
Si 2.256 0.000 2.268
Si 2.871 2.007 5.653
Os 2.113 0.000 4.623
```



Record 2
# Ta2FeOs
Simulated X-ray diffraction stick pattern, CuKα. Input: a GGA-PBE-relaxed structure.
Intensities are scaled so that the largest is 100.

Main lines, by angle (2θ = 15–90°):
2θ 19.94, intensity 13, hkl 0 1 1
2θ 40.51, intensity 51, hkl 0 2 2
2θ 40.67, intensity 100, hkl 2 2 0
2θ 58.55, intensity 9, hkl 0 4 0
2θ 58.70, intensity 9, hkl 0 0 4
2θ 59.13, intensity 8, hkl 4 0 0
2θ 73.79, intensity 35, hkl 2 4 2
2θ 74.13, intensity 17, hkl 4 2 2

Structure:
```
16
Lattice="6.250 0.000 0.000 0.000 6.306 0.000 0.000 0.000 6.291" Properties=species:S:1:pos:R:3 pbc="T T T"
Ta 1.564 0.000 0.000
Ta 1.561 0.000 3.146
Ta 1.564 3.153 0.000
Ta 1.561 3.153 3.146
Ta 4.686 0.000 0.000
Ta 4.689 0.000 3.146
Ta 4.686 3.153 0.000
Ta 4.689 3.153 3.146
Fe 0.000 1.576 1.563
Fe 0.000 4.729 4.729
Fe 3.125 1.576 1.583
Fe 3.125 4.729 4.708
Os 0.000 1.576 4.718
Os 0.000 4.729 1.573
Os 3.125 1.576 4.719
Os 3.125 4.729 1.573
```